Diffraction record for TlCu4Br6. The XRD peak list is simulated, not measured: it uses a crystal structure in Alexandria, relaxed with PBE and Cu Kα.
Lines closer than 0.1° are merged.

Structural model:
Cell: 7.298 7.298 7.298 Å, 123.70 123.70 83.71°
Fractional positions:
Tl 0.000 0.000 0.000
Cu 0.261 0.532 0.000
Cu 0.468 0.468 0.729
Cu 0.532 0.261 0.000
Cu 0.739 0.739 0.271
Br 0.000 0.500 0.500
Br 0.098 0.098 0.639
Br 0.459 0.459 0.361
Br 0.500 0.000 0.500
Br 0.541 0.902 0.000
Br 0.902 0.541 0.000

Main lines, by intensity (2θ = 10–90°):
d/Å, I_rel
2.909, 100
2.347, 62
3.207, 49
2.963, 44
2.246, 31
4.869, 26
2.435, 25
1.813, 23
1.651, 22
1.454, 20

=====

Diffraction record for Tl3Cu2Br9. The XRD peak list is simulated, not measured: it uses a crystal structure in Alexandria, relaxed with PBE and Cu Kα.
Lines closer than 0.1° are merged.

Structural model:
Cell: 7.245 7.245 9.054 Å, 90.00 90.00 120.00°
Fractional positions:
Tl 0.000 0.000 0.000
Tl 0.333 0.667 0.356
Tl 0.667 0.333 0.644
Cu 0.333 0.667 0.830
Cu 0.667 0.333 0.170
Br 0.000 0.500 0.000
Br 0.169 0.338 0.679
Br 0.169 0.831 0.679
Br 0.338 0.169 0.321
Br 0.500 0.000 0.000
Br 0.500 0.500 0.000
Br 0.662 0.831 0.679
Br 0.831 0.169 0.321
Br 0.831 0.662 0.321

Main lines, by intensity (2θ = 10–90°):
d/Å, I_rel
2.579, 100
2.964, 99
1.811, 36
1.836, 33
3.018, 32
3.671, 30
3.622, 27
1.553, 26
1.482, 18
1.147, 16

=====

Diffraction record for TlCuBr5. The XRD peak list is simulated, not measured: it uses a crystal structure in Alexandria, relaxed with PBE and Cu Kα.
Lines closer than 0.1° are merged.

Structural model:
Cell: 7.915 7.940 9.296 Å, 106.36 109.05 104.48°
Fractional positions:
Tl 0.106 0.394 0.232
Tl 0.894 0.606 0.768
Cu 0.000 0.000 0.500
Cu 0.500 0.500 0.000
Br 0.078 0.063 0.288
Br 0.229 0.710 0.013
Br 0.250 0.704 0.488
Br 0.303 0.271 0.702
Br 0.353 0.293 0.108
Br 0.647 0.707 0.892
Br 0.697 0.729 0.298
Br 0.750 0.296 0.512
Br 0.771 0.290 0.987
Br 0.922 0.937 0.712

Main lines, by intensity (2θ = 10–90°):
d/Å, I_rel
3.056, 100
6.928, 92
4.105, 91
3.745, 87
7.056, 82
3.835, 80
2.777, 69
2.382, 67
4.406, 67
4.499, 64

=====

Question: Number 1 is which compound?
Answer: TlCu4Br6